[1]
For Th2Co6B, DFT lattice parameters and positions (GGA-PBE) gives the calculated powder X-ray diffraction pattern in this record (Cu Kα (λ = 1.5418 Å)).
Neutral-atom scattering factors, no anomalous dispersion.

Crystal structure
```
Th2Co6B
1.0
5.5702 0.0000 0.0000
-2.7851 4.8240 0.0000
0.0000 0.0000 4.7026
Th Co B
2 6 1
Direct
0.3333 0.6667 0.2634
0.6667 0.3333 0.7366
0.1578 0.3156 0.7677
0.1578 0.8422 0.7677
0.3156 0.1578 0.2323
0.6844 0.8422 0.7677
0.8422 0.1578 0.2323
0.8422 0.6844 0.2323
0.0000 0.0000 0.5000
```

Top 10 peaks for 2θ from 10° to 80°, low angle first:
d [Å], Rel. int.
3.367, 58
2.785, 23
2.412, 23
2.351, 28
2.146, 100
1.797, 12
1.700, 14
1.684, 15
1.393, 16
1.314, 18



[2]
For TiCo22B6, DFT lattice parameters and positions (GGA-PBE) gives the calculated powder X-ray diffraction pattern in this record (Cu Kα (λ = 1.5418 Å)).
Neutral-atom scattering factors, no anomalous dispersion.

Crystal structure
```
TiCo22B6
1.0
0.0000 5.2236 5.2236
5.2236 0.0000 5.2236
5.2236 5.2236 0.0000
Ti Co B
1 22 6
Direct
0.0000 0.0000 0.0000
0.0000 0.0000 0.3412
0.0000 0.0000 0.6588
0.0000 0.3412 0.0000
0.0000 0.3412 0.6588
0.0000 0.6588 0.0000
0.0000 0.6588 0.3412
0.1423 0.6192 0.6192
0.2500 0.2500 0.2500
0.3412 0.0000 0.0000
0.3412 0.0000 0.6588
0.3412 0.6588 0.0000
0.3808 0.3808 0.3808
0.3808 0.3808 0.8577
0.3808 0.8577 0.3808
0.6192 0.1423 0.6192
0.6192 0.6192 0.1423
0.6192 0.6192 0.6192
0.6588 0.0000 0.0000
0.6588 0.0000 0.3412
0.6588 0.3412 0.0000
0.7500 0.7500 0.7500
0.8577 0.3808 0.3808
0.2733 0.2733 0.7267
0.2733 0.7267 0.2733
0.2733 0.7267 0.7267
0.7267 0.2733 0.2733
0.7267 0.2733 0.7267
0.7267 0.7267 0.2733
```

Top 10 peaks for 2θ from 10° to 80°, low angle first:
d [Å], Rel. int.
2.336, 26
2.133, 28
2.011, 100
1.847, 22
1.766, 31
1.741, 12
1.575, 8
1.267, 7
1.231, 21
1.206, 12



[3]
For TiCo4B4, DFT lattice parameters and positions (GGA-PBE) gives the calculated powder X-ray diffraction pattern in this record (Cu Kα (λ = 1.5418 Å)).
Neutral-atom scattering factors, no anomalous dispersion.

Crystal structure
```
TiCo4B4
1.0
4.8955 0.0000 0.0000
0.0000 4.8955 0.0000
0.0000 0.0000 6.7666
Ti Co B
2 8 8
Direct
0.2500 0.7500 0.2500
0.7500 0.2500 0.7500
0.9995 0.2500 0.1068
0.0005 0.7500 0.8932
0.2500 0.9995 0.6068
0.2500 0.5005 0.6068
0.5005 0.2500 0.1068
0.4995 0.7500 0.8932
0.7500 0.0005 0.3932
0.7500 0.4995 0.3932
0.0737 0.2500 0.4036
0.2500 0.0737 0.9036
0.2500 0.4263 0.9036
0.4263 0.2500 0.4036
0.5737 0.7500 0.5964
0.7500 0.5737 0.0964
0.7500 0.9263 0.0964
0.9263 0.7500 0.5964
```

Top 10 peaks for 2θ from 10° to 80°, low angle first:
d [Å], Rel. int.
3.966, 18
2.783, 55
2.302, 100
2.083, 84
2.049, 64
1.838, 45
1.731, 31
1.322, 16
1.224, 17
1.210, 28